Entry 1:
Simulated X-ray powder pattern
Compound: Fe5Ni4Rh2
Radiation: Cu Ka
Structure: a structure optimized by DFT (PBE)
No peak broadening, texture or thermal motion is included.

Cell and atoms:
```
Fe5Ni4Rh2
1.0
6.1173 0.0000 0.0000
0.0000 16.9934 0.0000
0.0000 0.0000 2.6053
Fe Ni Rh
10 8 4
Cartesian
0.0000 0.0000 0.0000
1.0108 7.0730 0.0000
1.0931 11.3126 0.0000
1.9655 2.8159 0.0000
2.0479 15.5697 0.0000
3.0587 8.4967 0.0000
4.0695 1.4237 0.0000
4.1518 14.1775 0.0000
5.0242 5.6808 0.0000
5.1065 9.9204 0.0000
0.0537 14.7885 1.3027
1.0226 9.2068 1.3027
2.0361 0.7101 1.3027
3.0050 6.2918 1.3027
3.1123 10.7016 1.3027
4.0813 16.2833 1.3027
5.0947 7.7866 1.3027
6.0637 2.2049 1.3027
0.9247 4.7730 1.3027
2.1339 13.2697 1.3027
3.9834 3.7237 1.3027
5.1926 12.2204 1.3027
```

The 10 most intense peaks (2θ = 15–90°), low angle first:
| two_theta | I (rel.) |
| --- | --- |
| 39.96 | 43.7 |
| 40.88 | 26.7 |
| 43.34 | 100.0 |
| 44.76 | 63.7 |
| 45.19 | 56.9 |
| 46.35 | 41.2 |
| 48.64 | 57.1 |
| 50.80 | 43.7 |
| 76.58 | 25.0 |
| 87.65 | 32.5 |



Entry 2:
Simulated X-ray powder pattern
Compound: In2BiTe4
Radiation: Cu Ka
Structure: a structure optimized by DFT (PBE)
No peak broadening, texture or thermal motion is included.

Cell and atoms:
```
In2BiTe4
1.0
-4.2520 4.2520 3.6816
4.2520 -4.2520 3.6816
4.2520 4.2520 -3.6816
In Bi Te
2 1 4
Cartesian
4.2520 0.0000 1.8408
0.0000 4.2520 1.8408
0.0000 0.0000 0.0000
5.7551 1.5904 0.0000
1.5904 2.7489 0.0000
2.6616 1.5031 3.6816
-1.5031 2.6616 3.6816
```

The 10 most intense peaks (2θ = 15–90°), low angle first:
| two_theta | I (rel.) |
| --- | --- |
| 15.92 | 34.8 |
| 24.17 | 20.3 |
| 26.38 | 100.0 |
| 28.43 | 31.3 |
| 29.71 | 47.0 |
| 32.16 | 22.4 |
| 41.59 | 72.5 |
| 43.90 | 25.4 |
| 45.68 | 31.0 |
| 69.30 | 31.3 |



Entry 3:
Simulated X-ray powder pattern
Compound: Ga2Cu4Au5
Radiation: Cu Ka
Structure: a structure optimized by DFT (PBE)
No peak broadening, texture or thermal motion is included.

Cell and atoms:
```
Ga2Cu4Au5
1.0
3.8999 0.0000 0.0000
-1.8901 4.4039 0.0000
-0.0223 -2.5627 10.0153
Ga Cu Au
2 4 5
Cartesian
-0.0104 0.4793 1.4569
1.9979 1.3619 8.5584
0.0064 -0.4729 7.6842
0.0225 2.1946 6.8384
1.9650 -0.3534 3.1770
1.9811 2.3141 2.3312
-0.0112 -1.2813 5.0077
0.0358 1.3798 3.9488
0.0290 3.0935 0.6102
1.9585 -1.2523 9.4051
1.9517 0.4614 6.0665
```

The 10 most intense peaks (2θ = 15–90°), low angle first:
| two_theta | I (rel.) |
| --- | --- |
| 17.71 | 31.7 |
| 27.66 | 35.0 |
| 29.61 | 36.2 |
| 38.80 | 93.8 |
| 39.01 | 100.0 |
| 39.50 | 99.7 |
| 39.99 | 89.9 |
| 44.98 | 58.0 |
| 45.62 | 60.1 |
| 46.58 | 59.1 |



- What is the formula in the second record?
  In2BiTe4